The following is a simulated X-ray powder pattern of Li4VGa3O8. It was derived from DFT lattice parameters and positions (GGA+U), using CuKα.
Neutral-atom scattering factors, no anomalous dispersion.

Atomic structure:
a b c (Å): 5.0948 5.5290 6.4912
angles (deg): 90.04 90.06 90.06
Space group P1 (No. 1)
Unique sites:
Li1 0.0000 0.0000 0.0000 x1
Li2 0.0002 0.4952 0.2531 x1
Li3 0.5003 0.3317 0.5034 x1
Li4 0.5000 0.8338 0.7522 x1
V1 0.4992 0.8319 0.2493 x1
Ga1 0.4967 0.3332 0.9991 x1
Ga2 0.9945 0.9992 0.5073 x1
Ga3 0.9961 0.4981 0.7505 x1
O1 0.1044 0.3227 0.5171 x1
O2 0.1050 0.8214 0.7390 x1
O3 0.1161 0.8481 0.2670 x1
O4 0.1280 0.3481 0.9878 x1
O5 0.6050 0.0116 0.0080 x1
O6 0.6047 0.4969 0.2381 x1
O7 0.6263 0.9884 0.4965 x1
O8 0.6277 0.4885 0.7643 x1

Largest 10 diffraction maxima, by angle, 10° ≤ 2θ ≤ 80°:
index, d (Å), intensity
0 1 1, 4.209, 83
1 0 -1, 4.008, 100
1 -1 1, 3.245, 29
0 1 2, 2.799, 49
0 2 0, 2.765, 26
2 0 0, 2.546, 63
1 -1 2, 2.453, 52
1 2 0, 2.430, 25
0 3 2, 1.603, 31
3 -1 2, 1.452, 27

***

The following is a simulated X-ray powder pattern of Sr2CaPr2Fe2Ru2O12. It was derived from DFT lattice parameters and positions (GGA+U), using CuKα.
Neutral-atom scattering factors, no anomalous dispersion.

Atomic structure:
a b c (Å): 5.9608 6.2032 7.7514
angles (deg): 88.72 86.91 83.66
Space group P1 (No. 1)
Unique sites:
Sr1 0.0000 0.0000 0.0000 x1
Sr2 0.4261 0.6383 0.4962 x1
Ca1 0.5757 0.7723 0.0800 x1
Pr1 0.3101 0.4395 0.9460 x1
Pr2 0.9509 0.1324 0.5015 x1
Fe1 0.4810 0.1601 0.2775 x1
Fe2 0.8586 0.5614 0.7347 x1
Ru1 0.4700 0.0657 0.7423 x1
Ru2 0.9637 0.5648 0.2599 x1
O1 0.0314 0.5261 0.5111 x1
O2 0.1313 0.2396 0.7701 x1
O3 0.1522 0.2661 0.2132 x1
O4 0.2440 0.7045 0.2012 x1
O5 0.3504 0.7879 0.8209 x1
O6 0.3649 0.0397 0.4995 x1
O7 0.5566 0.1175 0.0071 x1
O8 0.6369 0.3586 0.6971 x1
O9 0.6987 0.3917 0.3068 x1
O10 0.7810 0.8749 0.7072 x1
O11 0.7928 0.8713 0.2945 x1
O12 0.9087 0.5881 0.9852 x1

Largest 10 diffraction maxima, by angle, 10° ≤ 2θ ≤ 80°:
index, d (Å), intensity
1 0 1, 4.822, 44
0 2 0, 3.082, 50
1 1 2, 3.018, 39
2 0 0, 2.958, 64
0 2 1, 2.880, 43
1 1 -2, 2.868, 100
1 -1 2, 2.834, 89
-1 1 2, 2.765, 75
2 -2 0, 2.026, 38
0 0 4, 1.935, 41

***

The following is a simulated X-ray powder pattern of Mn15NiO32. It was derived from DFT lattice parameters and positions (GGA+U), using CuKα.
Neutral-atom scattering factors, no anomalous dispersion.

Atomic structure:
a b c (Å): 11.6712 11.6712 14.2051
angles (deg): 90.00 90.00 120.00
Space group R-3m (No. 166, hexagonal axes)
Unique sites:
Mn1 0.0000 0.2505 0.0000 x18
Mn2 0.0000 0.5000 0.5000 x9
Mn3 0.0831 0.1662 0.6657 x18
Ni1 0.0000 0.0000 0.5000 x3
O1 0.0000 0.0000 0.2648 x6
O2 0.0000 0.5000 0.2642 x18
O3 0.0190 0.2591 0.7449 x36
O4 0.0725 0.1450 0.4136 x18
O5 0.0933 0.1866 0.9216 x18

Largest 10 diffraction maxima, by angle, 10° ≤ 2θ ≤ 80°:
index, d (Å), intensity
0 2 1, 4.761, 100
0 0 3, 4.735, 30
2 2 3, 2.485, 33
2 0 5, 2.477, 11
0 4 2, 2.381, 9
4 0 4, 2.059, 64
6 0 3, 1.586, 16
4 4 0, 1.459, 17
0 4 8, 1.453, 16
6 2 1, 1.395, 9

***

The following is a simulated X-ray powder pattern of K2MgCo2O4. It was derived from DFT lattice parameters and positions (GGA+U), using CuKα.
Neutral-atom scattering factors, no anomalous dispersion.

Atomic structure:
a b c (Å): 3.7840 3.7840 9.8036
angles (deg): 90.00 90.00 90.00
Space group P4mm (No. 99)
Unique sites:
K1 0.0000 0.0000 0.0000 x1
K2 0.5000 0.5000 0.2637 x1
Mg1 0.0000 0.0000 0.6985 x1
Co1 0.0000 0.0000 0.4537 x1
Co2 0.5000 0.5000 0.6739 x1
O1 0.0000 0.0000 0.2689 x1
O2 0.0000 0.5000 0.5922 x2
O3 0.5000 0.5000 0.8692 x1

Largest 10 diffraction maxima, by angle, 10° ≤ 2θ ≤ 80°:
index, d (Å), intensity
0 0 3, 3.268, 15
1 0 2, 2.995, 100
1 1 0, 2.676, 97
1 0 3, 2.473, 25
1 1 3, 2.070, 13
2 0 0, 1.892, 52
1 1 4, 1.807, 33
2 1 2, 1.600, 27
1 1 5, 1.582, 26
2 2 0, 1.338, 14

***

The following is a simulated X-ray powder pattern of MnS2O12. It was derived from DFT lattice parameters and positions (GGA+U), using CuKα.
Neutral-atom scattering factors, no anomalous dispersion.

Atomic structure:
a b c (Å): 9.4148 16.2626 5.6901
angles (deg): 90.00 90.00 90.00
Space group Pnma (No. 62)
Unique sites:
Mn1 0.0000 0.0000 0.0000 x4
S1 0.2409 0.0920 0.2898 x8
O1 0.0328 0.5939 0.1543 x8
O2 0.0884 0.0631 0.2675 x8
O3 0.0918 0.7500 0.0975 x4
O4 0.1369 0.2500 0.9432 x4
O5 0.1749 0.5121 0.8201 x8
O6 0.2128 0.6374 0.5835 x8
O7 0.2499 0.1393 0.5128 x8

Largest 10 diffraction maxima, by angle, 10° ≤ 2θ ≤ 80°:
index, d (Å), intensity
0 2 0, 8.131, 100
1 0 1, 4.870, 45
1 2 1, 4.178, 14
0 3 1, 3.925, 30
2 1 1, 3.540, 16
1 4 1, 3.121, 20
2 4 0, 3.077, 24
2 3 1, 3.015, 20
2 2 2, 2.332, 12
4 6 2, 1.507, 10